Calculated PXRD pattern
Compound: SiPO2F
Radiation: Cu Kα X-rays
Structure: a GGA-PBE-relaxed structure
Peak positions follow from Bragg's law for the DFT cell and can differ from measured ones.

```
SiPO2F
1.0
3.341 0.000 0.000
0.000 3.341 0.000
0.000 0.000 5.202
Si P O F
1 1 2 1
Cartesian
0.000 0.000 0.000
0.000 0.000 2.601
0.000 1.670 0.000
1.670 0.000 0.000
1.670 1.670 2.601
```

Most intense lines, 2θ from 10° to 90°, sorted by position:
2θ 26.69, I 51, (1 0 0); 2θ 31.84, I 13, (1 0 1); 2θ 34.48, I 100, (0 0 2); 2θ 38.10, I 25, (1 1 0); 2θ 42.01, I 49, (1 1 1); 2θ 44.13, I 24, (1 0 2); 2θ 52.32, I 20, (1 1 2); 2θ 54.98, I 42, (2 0 0); 2θ 66.53, I 44, (2 0 2); 2θ 73.04, I 13, (2 1 2)